# 1
For SnHgGe2, a PBE-relaxed structure gives the calculated X-ray diffraction stick pattern in this record (λ = 1.5418 Å (Cu Kα)).

Atomic structure:
a b c (Å): 6.2687 6.2687 12.1398
angles (deg): 90.00 90.00 90.00
Space group I-42d (No. 122)
Unique sites:
Sn1 0.0000 0.0000 0.0000 (multiplicity 4)
Hg1 0.0000 0.0000 0.5000 (multiplicity 4)
Ge1 0.2470 0.2500 0.6250 (multiplicity 8)

Main lines, in order of rising 2θ (10° ≤ 2θ ≤ 90°):
(1 1 2), 2θ 24.9, I 100.0; (2 2 0), 2θ 40.7, I 24.6; (2 0 4), 2θ 41.4, I 46.9; (3 1 2), 2θ 48.3, I 34.3; (1 1 6), 2θ 49.5, I 15.9; (4 2 4), 2θ 74.6, I 16.9

---

# 2
For Sr3HgGe4, a PBE-relaxed structure gives the calculated X-ray diffraction stick pattern in this record (λ = 1.5418 Å (Cu Kα)).

Atomic structure:
a b c (Å): 4.6944 6.1905 16.7682
angles (deg): 90.00 90.00 90.00
Space group Immm (No. 71)
Unique sites:
Sr1 0.0000 0.0000 0.0000 (multiplicity 2)
Sr2 0.0000 0.5000 0.1930 (multiplicity 4)
Hg1 0.0000 0.0000 0.5000 (multiplicity 2)
Ge1 0.0000 0.3050 0.3776 (multiplicity 8)

Main lines, in order of rising 2θ (10° ≤ 2θ ≤ 90°):
(0 0 2), 2θ 10.6, I 28.3; (1 0 1), 2θ 19.6, I 39.8; (1 1 2), 2θ 26.1, I 100.0; (1 1 4), 2θ 32.1, I 56.0; (0 2 4), 2θ 36.1, I 36.6; (2 0 0), 2θ 38.4, I 67.9

---

# 3
For SrYHgGe, a PBE-relaxed structure gives the calculated X-ray diffraction stick pattern in this record (λ = 1.5418 Å (Cu Kα)).

Atomic structure:
a b c (Å): 7.5596 7.5596 7.5596
angles (deg): 90.00 90.00 90.00
Space group F-43m (No. 216)
Unique sites:
Sr1 0.0000 0.0000 0.0000 (multiplicity 4)
Y1 0.0000 0.0000 0.5000 (multiplicity 4)
Hg1 0.2500 0.2500 0.2500 (multiplicity 4)
Ge1 0.2500 0.2500 0.7500 (multiplicity 4)

Main lines, in order of rising 2θ (10° ≤ 2θ ≤ 90°):
(1 1 1), 2θ 20.3, I 16.5; (2 2 0), 2θ 33.5, I 100.0; (4 0 0), 2θ 48.1, I 18.0; (4 2 2), 2θ 59.9, I 37.3; (4 4 0), 2θ 70.5, I 11.5; (6 2 0), 2θ 80.3, I 16.2

---

# 4
For Tc2HgGe2, a PBE-relaxed structure gives the calculated X-ray diffraction stick pattern in this record (λ = 1.5418 Å (Cu Kα)).

Atomic structure:
a b c (Å): 7.2334 7.2334 3.1401
angles (deg): 90.00 90.00 90.00
Space group P4/mbm (No. 127)
Unique sites:
Tc1 0.1445 0.3555 0.0000 (multiplicity 4)
Hg1 0.0000 0.0000 0.0000 (multiplicity 2)
Ge1 0.1480 0.6480 0.5000 (multiplicity 4)

Main lines, in order of rising 2θ (10° ≤ 2θ ≤ 90°):
(1 1 1), 2θ 33.5, I 31.0; (2 0 1), 2θ 37.9, I 26.7; (3 1 0), 2θ 39.4, I 100.0; (2 1 1), 2θ 40.0, I 87.1; (3 1 1), 2θ 49.3, I 35.1; (3 1 2), 2θ 73.1, I 32.3